The following is a calculated powder XRD pattern of WOF3. It was derived from a cell relaxed with PBE+U, using Cu Ka.
No peak broadening, texture or thermal motion is included.

Main lines, by intensity (15 to 90 degrees two-theta):
20.5 deg, I 100, (1 1 0)
25.9 deg, I 58, (1 0 1)
39.4 deg, I 24, (2 1 1)
41.6 deg, I 21, (2 2 0)
35.8 deg, I 21, (3 0 0)
33.3 deg, I 18, (0 2 1)

```
data_WOF3
_chemical_formula_sum 'W3 O3 F9'
_cell_length_a 8.6810
_cell_length_b 8.6810
_cell_length_c 3.8598
_cell_angle_alpha 90.00
_cell_angle_beta 90.00
_cell_angle_gamma 120.00
_symmetry_space_group_name_H-M 'R 3 m'
_symmetry_Int_Tables_number 160
_symmetry_space_group_name_Hall 'R 3 -2"'
loop_
_atom_site_label
_atom_site_type_symbol
_atom_site_fract_x
_atom_site_fract_y
_atom_site_fract_z
W1 W 0.0000 0.0000 0.0000
O1 O 0.0000 0.0000 0.5009
F1 F 0.2068 0.4136 0.6717
```